1.
The following is a simulated PXRD pattern of BaGa2SiAg. It was derived from DFT lattice parameters and positions (PBE), using Cu Kα, 1.54184 Å.
No peak broadening, texture or thermal motion is included.

Unit cell a=4.5150 b=4.5986 c=10.8797 alpha=90.00 beta=90.00 gamma=90.00
Space group Imm2 (No. 44)
Symmetry-distinct sites (fractional):
Ba 0.0000 0.0000 0.0000 x2
Ga 0.0000 0.0000 0.3845 x2
Ga 0.0000 0.5000 0.2517 x2
Si 0.0000 0.0000 0.6199 x2
Ag 0.0000 0.5000 0.7449 x2

Main lines, in order of falling intensity (2θ from 5° to 70°):
32.29 deg, intensity 100, (1 1 2); 39.18 deg, intensity 23, (0 2 0); 31.65 deg, intensity 23, (1 0 3); 39.94 deg, intensity 22, (2 0 0); 31.42 deg, intensity 16, (0 1 3); 57.18 deg, intensity 15, (2 2 0)


2.
The following is a simulated PXRD pattern of Ba2GaAg4Sn3. It was derived from DFT lattice parameters and positions (PBE), using Cu Kα, 1.54184 Å.
No peak broadening, texture or thermal motion is included.

Unit cell a=4.8613 b=4.8613 c=11.3097 alpha=90.00 beta=90.00 gamma=90.00
Space group P-4m2 (No. 115)
Symmetry-distinct sites (fractional):
Ba 0.0000 0.5000 0.2483 x2
Ga 0.0000 0.0000 0.5000 x1
Ag 0.0000 0.0000 0.0000 x1
Ag 0.0000 0.5000 0.6245 x2
Ag 0.5000 0.5000 0.0000 x1
Sn 0.0000 0.5000 0.8716 x2
Sn 0.5000 0.5000 0.5000 x1

Main lines, in order of falling intensity (2θ from 5° to 70°):
30.43 deg, intensity 100, (1 1 2); 36.98 deg, intensity 82, (2 0 0); 30.00 deg, intensity 74, (1 0 3); 48.33 deg, intensity 40, (2 1 3); 41.35 deg, intensity 35, (1 1 4); 53.30 deg, intensity 28, (2 2 0)